1.
Structure and calculated XRD peak list of Rb4Ag3Br10 (a DFT-relaxed cell (GGA-PBE, Alexandria); CuKα).

```
Rb4Ag3Br10
1.0
-2.715 2.715 19.475
2.715 -2.715 19.475
2.715 2.715 -19.475
Rb Ag Br
4 3 10
direct
0.069 0.069 0.000
0.200 0.200 0.000
0.800 0.800 0.000
0.931 0.931 0.000
0.359 0.359 0.000
0.500 0.500 0.000
0.641 0.641 0.000
0.000 0.500 0.500
0.137 0.637 0.500
0.289 0.289 0.000
0.363 0.863 0.500
0.431 0.431 0.000
0.500 0.000 0.500
0.569 0.569 0.000
0.637 0.137 0.500
0.711 0.711 0.000
0.863 0.363 0.500
```

Main lines, sorted by position (2θ from 15° to 90°):
- 16.48 deg, rel. 27
- 22.88 deg, rel. 23
- 23.16 deg, rel. 30
- 29.63 deg, rel. 55
- 32.17 deg, rel. 41
- 32.99 deg, rel. 100
- 46.75 deg, rel. 56
- 47.35 deg, rel. 36
- 58.40 deg, rel. 30
- 87.69 deg, rel. 19



2.
Structure and calculated XRD peak list of Rb3Ag2Br6 (a DFT-relaxed cell (GGA-PBE, Alexandria); CuKα).

```
Rb3Ag2Br6
1.0
-2.649 2.649 14.316
2.649 -2.649 14.316
2.649 2.649 -14.316
Rb Ag Br
3 2 6
direct
0.000 0.000 0.000
0.182 0.182 0.000
0.818 0.818 0.000
0.399 0.399 0.000
0.601 0.601 0.000
0.082 0.582 0.500
0.302 0.302 0.000
0.418 0.918 0.500
0.582 0.082 0.500
0.698 0.698 0.000
0.918 0.418 0.500
```

Main lines, sorted by position (2θ from 15° to 90°):
- 22.87 deg, rel. 49
- 23.75 deg, rel. 27
- 24.56 deg, rel. 32
- 27.55 deg, rel. 22
- 30.33 deg, rel. 56
- 31.24 deg, rel. 31
- 33.84 deg, rel. 100
- 39.62 deg, rel. 21
- 46.71 deg, rel. 39
- 48.60 deg, rel. 35



3.
Structure and calculated XRD peak list of Rb2AgBr4 (a DFT-relaxed cell (GGA-PBE, Alexandria); CuKα).

```
Rb2AgBr4
1.0
7.781 0.000 0.000
0.000 7.781 0.000
0.000 0.000 4.622
Rb Ag Br
2 1 4
direct
0.000 0.500 0.000
0.500 0.000 0.000
0.000 0.000 0.500
0.238 0.238 0.500
0.238 0.762 0.500
0.762 0.238 0.500
0.762 0.762 0.500
```

Main lines, sorted by position (2θ from 15° to 90°):
- 19.20 deg, rel. 37
- 25.16 deg, rel. 88
- 30.02 deg, rel. 100
- 32.55 deg, rel. 100
- 38.97 deg, rel. 31
- 41.58 deg, rel. 43
- 46.70 deg, rel. 34
- 51.66 deg, rel. 52
- 56.52 deg, rel. 30
- 62.40 deg, rel. 28